The following is a computed powder XRD pattern of Na8Cd3Pb. It was derived from a structure optimized by DFT (GGA-PBE), using Cu Kα, 1.54184 Å.
Intensities are scaled so that the largest is 100.

Main lines, in order of rising 2θ (10 to 90 degrees two-theta):
- 2θ = 15.0°, I = 20
- 2θ = 17.9°, I = 54
- 2θ = 22.7°, I = 23
- 2θ = 24.7°, I = 13
- 2θ = 32.9°, I = 100
- 2θ = 34.1°, I = 18
- 2θ = 34.9°, I = 14
- 2θ = 38.8°, I = 16
- 2θ = 48.1°, I = 14
- 2θ = 58.7°, I = 14

Structural model:
Lattice parameters (Å, degrees): 12.9940 10.5051 5.4438 90.00 114.72 90.00
Space group Cm (No. 8)
One atom of each set of equivalent atoms:
Na1 0.0000 0.0000 0.0000 [2 per cell]
Na2 0.0016 0.5000 0.0011 [2 per cell]
Na3 0.1614 0.0000 0.6625 [2 per cell]
Na4 0.1663 0.5000 0.6657 [2 per cell]
Na5 0.3241 0.2525 0.8212 [4 per cell]
Na6 0.4870 0.2483 0.4844 [4 per cell]
Cd1 0.1696 0.2484 0.1668 [4 per cell]
Cd2 0.3137 0.0000 0.3141 [2 per cell]
Pb1 0.3195 0.5000 0.3186 [2 per cell]